No. 1
Structure and computed PXRD pattern of Na3Cu5O4 (the PBE geometry in Alexandria; a wavelength of 1.5418 Å).
No peak broadening, texture or thermal motion is included.

Largest 10 diffraction maxima, by angle, 2θ = 10–80°:
- d 6.022, I = 100
- d 5.241, I = 57
- d 4.580, I = 47
- d 4.484, I = 43
- d 4.158, I = 57
- d 3.556, I = 45
- d 2.711, I = 54
- d 2.678, I = 81
- d 2.403, I = 44
- d 2.097, I = 59

Cell and atoms:
a b c (Å): 8.7018 6.8585 13.1664
angles (deg): 90.00 107.12 90.00
Element x y z (fractional)
Na  0.0906  0.1470  0.0850
Na  0.0906  0.3530  0.5850
Na  0.2635  0.7357  0.5723
Na  0.2635  0.7643  0.0723
Na  0.3543  0.0842  0.9023
Na  0.3543  0.4158  0.4023
Na  0.6457  0.5842  0.5977
Na  0.6457  0.9158  0.0977
Na  0.7365  0.2357  0.9277
Na  0.7365  0.2643  0.4277
Na  0.9094  0.6470  0.4150
Na  0.9094  0.8530  0.9150
Cu  0.0494  0.0722  0.4025
Cu  0.0494  0.4278  0.9025
Cu  0.0699  0.6762  0.7449
Cu  0.0699  0.8238  0.2449
Cu  0.3130  0.5320  0.8860
Cu  0.3130  0.9680  0.3860
Cu  0.4146  0.1555  0.5962
Cu  0.4146  0.3445  0.0962
Cu  0.4382  0.0821  0.2330
Cu  0.4382  0.4179  0.7330
Cu  0.5618  0.5821  0.2670
Cu  0.5618  0.9179  0.7670
Cu  0.5854  0.6555  0.9038
Cu  0.5854  0.8445  0.4038
Cu  0.6870  0.0320  0.6140
Cu  0.6870  0.4680  0.1140
Cu  0.9301  0.1762  0.7551
Cu  0.9301  0.3238  0.2551
Cu  0.9506  0.5722  0.0975
Cu  0.9506  0.9278  0.5975
O  0.0173  0.6742  0.5996
O  0.0173  0.8258  0.0996
O  0.1324  0.6778  0.8934
O  0.1324  0.8222  0.3934
O  0.3733  0.0785  0.0859
O  0.3733  0.4215  0.5859
O  0.4994  0.0997  0.3801
O  0.4994  0.4003  0.8801
O  0.5006  0.5997  0.1199
O  0.5006  0.9003  0.6199
O  0.6267  0.5785  0.4141
O  0.6267  0.9215  0.9141
O  0.8676  0.1778  0.6066
O  0.8676  0.3222  0.1066
O  0.9827  0.1742  0.9004
O  0.9827  0.3258  0.4004

***

No. 2
Structure and computed PXRD pattern of NaCu3O4 (the PBE geometry in Alexandria; a wavelength of 1.5418 Å).
No peak broadening, texture or thermal motion is included.

Largest 10 diffraction maxima, by angle, 2θ = 10–80°:
- d 3.873, I = 18
- d 2.739, I = 1
- d 2.450, I = 100
- d 2.236, I = 35
- d 1.732, I = 3
- d 1.581, I = 24
- d 1.519, I = 21
- d 1.464, I = 16
- d 1.369, I = 15
- d 1.291, I = 2

Cell and atoms:
a b c (Å): 5.4773 5.4773 5.4773
angles (deg): 90.00 90.00 90.00
Element x y z (fractional)
Na  0.0000  0.0000  0.0000
Na  0.5000  0.5000  0.5000
Cu  0.0000  0.2500  0.5000
Cu  0.0000  0.7500  0.5000
Cu  0.2500  0.5000  0.0000
Cu  0.5000  0.0000  0.2500
Cu  0.5000  0.0000  0.7500
Cu  0.7500  0.5000  0.0000
O  0.2500  0.2500  0.2500
O  0.2500  0.2500  0.7500
O  0.2500  0.7500  0.2500
O  0.2500  0.7500  0.7500
O  0.7500  0.2500  0.2500
O  0.7500  0.2500  0.7500
O  0.7500  0.7500  0.2500
O  0.7500  0.7500  0.7500

***

No. 3
Structure and computed PXRD pattern of Na6CuO4 (the PBE geometry in Alexandria; a wavelength of 1.5418 Å).
No peak broadening, texture or thermal motion is included.

Largest 10 diffraction maxima, by angle, 2θ = 10–80°:
- d 6.701, I = 47
- d 6.583, I = 100
- d 4.422, I = 48
- d 4.387, I = 95
- d 2.691, I = 48
- d 2.337, I = 40
- d 2.322, I = 94
- d 2.306, I = 79
- d 1.923, I = 88
- d 1.890, I = 46

Cell and atoms:
a b c (Å): 7.6929 7.6929 5.8844
angles (deg): 90.11 90.11 121.16
Element x y z (fractional)
Na  0.0327  0.5713  0.4816
Na  0.0385  0.9615  0.5000
Na  0.2143  0.3594  0.3266
Na  0.3594  0.2143  0.8266
Na  0.3593  0.6402  0.8216
Na  0.4278  0.9672  0.4817
Na  0.5713  0.0327  0.9816
Na  0.6402  0.3593  0.3216
Na  0.6398  0.7849  0.3262
Na  0.7849  0.6398  0.8262
Na  0.9615  0.0385  0.0000
Na  0.9672  0.4278  0.9817
Cu  0.1640  0.8348  0.0967
Cu  0.8348  0.1640  0.5967
O  0.1243  0.3031  0.7151
O  0.1751  0.8264  0.7611
O  0.3031  0.1243  0.2151
O  0.3099  0.6883  0.2074
O  0.6883  0.3099  0.7074
O  0.6959  0.8753  0.7161
O  0.8264  0.1751  0.2611
O  0.8753  0.6959  0.2161

***

No. 4
Structure and computed PXRD pattern of Na5CuO4 (the PBE geometry in Alexandria; a wavelength of 1.5418 Å).
No peak broadening, texture or thermal motion is included.

Largest 10 diffraction maxima, by angle, 2θ = 10–80°:
- d 5.725, I = 81
- d 3.502, I = 50
- d 2.863, I = 16
- d 2.648, I = 45
- d 2.216, I = 100
- d 2.024, I = 23
- d 1.942, I = 24
- d 1.839, I = 21
- d 1.752, I = 29
- d 1.402, I = 20

Cell and atoms:
a b c (Å): 8.0941 8.0987 3.8835
angles (deg): 90.00 90.00 90.00
Element x y z (fractional)
Na  0.0664  0.0660  0.2410
Na  0.0664  0.4340  0.2410
Na  0.2500  0.7500  0.5035
Na  0.4336  0.0660  0.2410
Na  0.4336  0.4340  0.2410
Na  0.5664  0.5660  0.7590
Na  0.5664  0.9340  0.7590
Na  0.7500  0.2500  0.4965
Na  0.9336  0.5660  0.7590
Na  0.9336  0.9340  0.7590
Cu  0.2500  0.2500  0.7348
Cu  0.7500  0.7500  0.2652
O  0.0173  0.2500  0.7361
O  0.2500  0.0176  0.7366
O  0.2500  0.4824  0.7366
O  0.4827  0.2500  0.7361
O  0.5173  0.7500  0.2639
O  0.7500  0.5176  0.2634
O  0.7500  0.9824  0.2634
O  0.9827  0.7500  0.2639

***

No. 5
Structure and computed PXRD pattern of NaCu3O4 (the PBE geometry in Alexandria; a wavelength of 1.5418 Å).
No peak broadening, texture or thermal motion is included.

Largest 10 diffraction maxima, by angle, 2θ = 10–80°:
- d 4.999, I = 14
- d 3.856, I = 16
- d 2.499, I = 100
- d 2.209, I = 45
- d 2.143, I = 88
- d 1.538, I = 49
- d 1.515, I = 24
- d 1.325, I = 17
- d 1.296, I = 27
- d 1.250, I = 22

Cell and atoms:
a b c (Å): 6.0612 6.0612 8.8375
angles (deg): 90.00 90.00 90.00
Element x y z (fractional)
Na  0.0000  0.2552  0.0000
Na  0.0000  0.7448  0.5000
Na  0.2552  0.0000  0.7500
Na  0.7448  0.0000  0.2500
Cu  0.0000  0.2497  0.5000
Cu  0.0000  0.7503  0.0000
Cu  0.2457  0.5000  0.2500
Cu  0.2497  0.0000  0.2500
Cu  0.2578  0.5000  0.7500
Cu  0.5000  0.2457  0.5000
Cu  0.5000  0.2578  0.0000
Cu  0.5000  0.7422  0.5000
Cu  0.5000  0.7543  0.0000
Cu  0.7422  0.5000  0.2500
Cu  0.7503  0.0000  0.7500
Cu  0.7543  0.5000  0.7500
O  0.0224  0.2704  0.2732
O  0.0224  0.7296  0.2268
O  0.2704  0.0224  0.4768
O  0.2704  0.9776  0.0232
O  0.2719  0.4701  0.5343
O  0.2719  0.5299  0.9657
O  0.4701  0.2719  0.2157
O  0.4701  0.7281  0.2843
O  0.5299  0.2719  0.7843
O  0.5299  0.7281  0.7157
O  0.7281  0.4701  0.4657
O  0.7281  0.5299  0.0343
O  0.7296  0.0224  0.5232
O  0.7296  0.9776  0.9768
O  0.9776  0.2704  0.7268
O  0.9776  0.7296  0.7732

***

No. 6
Structure and computed PXRD pattern of Na4Cu6O5 (the PBE geometry in Alexandria; a wavelength of 1.5418 Å).
No peak broadening, texture or thermal motion is included.

Largest 10 diffraction maxima, by angle, 2θ = 10–80°:
- d 6.753, I = 63
- d 5.175, I = 97
- d 3.899, I = 44
- d 3.376, I = 34
- d 2.552, I = 100
- d 2.495, I = 95
- d 2.433, I = 95
- d 2.102, I = 37
- d 1.850, I = 63
- d 1.725, I = 52

Cell and atoms:
a b c (Å): 7.7976 7.7976 8.0566
angles (deg): 90.00 90.00 120.00
Element x y z (fractional)
Na  0.0000  0.0000  0.0000
Na  0.0000  0.0000  0.5000
Na  0.1269  0.3974  0.2500
Na  0.2705  0.8731  0.2500
Na  0.3974  0.1269  0.7500
Na  0.6026  0.7295  0.2500
Na  0.7295  0.6026  0.7500
Na  0.8731  0.2705  0.7500
Cu  0.1736  0.7187  0.5902
Cu  0.1736  0.7187  0.9098
Cu  0.2813  0.4549  0.5902
Cu  0.2813  0.4549  0.9098
Cu  0.4549  0.2813  0.0902
Cu  0.4549  0.2813  0.4098
Cu  0.5451  0.8264  0.5902
Cu  0.5451  0.8264  0.9098
Cu  0.7187  0.1736  0.0902
Cu  0.7187  0.1736  0.4098
Cu  0.8264  0.5451  0.0902
Cu  0.8264  0.5451  0.4098
O  0.0692  0.8088  0.7500
O  0.1912  0.2603  0.7500
O  0.2603  0.1912  0.2500
O  0.3333  0.6667  0.0570
O  0.3333  0.6667  0.4430
O  0.6667  0.3333  0.5570
O  0.6667  0.3333  0.9430
O  0.7397  0.9308  0.7500
O  0.8088  0.0692  0.2500
O  0.9308  0.7397  0.2500

***

No. 7
Structure and computed PXRD pattern of Na2Cu3O5 (the PBE geometry in Alexandria; a wavelength of 1.5418 Å).
No peak broadening, texture or thermal motion is included.

Largest 10 diffraction maxima, by angle, 2θ = 10–80°:
- d 5.525, I = 74
- d 4.462, I = 21
- d 2.664, I = 29
- d 2.598, I = 26
- d 2.468, I = 64
- d 2.288, I = 100
- d 2.060, I = 44
- d 1.752, I = 19
- d 1.544, I = 22
- d 1.518, I = 23

Cell and atoms:
a b c (Å): 5.7829 5.7829 7.8910
angles (deg): 125.29 125.29 30.90
Element x y z (fractional)
Na  0.1775  0.1775  0.2729
Na  0.8225  0.8225  0.7271
Cu  0.0000  0.0000  0.5000
Cu  0.3895  0.3895  0.1095
Cu  0.6105  0.6105  0.8905
O  0.2021  0.2021  0.8291
O  0.4366  0.4366  0.5979
O  0.5000  0.5000  0.0000
O  0.5634  0.5634  0.4021
O  0.7979  0.7979  0.1709

***

No. 8
Structure and computed PXRD pattern of Na2CuO2 (the PBE geometry in Alexandria; a wavelength of 1.5418 Å).
No peak broadening, texture or thermal motion is included.

Largest 10 diffraction maxima, by angle, 2θ = 10–80°:
- d 4.952, I = 14
- d 4.126, I = 100
- d 2.670, I = 45
- d 2.500, I = 35
- d 2.270, I = 41
- d 2.218, I = 67
- d 1.759, I = 29
- d 1.586, I = 41
- d 1.497, I = 14
- d 1.378, I = 12

Cell and atoms:
a b c (Å): 5.6494 5.6494 5.6494
angles (deg): 149.25 132.63 57.55
Element x y z (fractional)
Na  0.1861  0.1861  0.0000
Na  0.8139  0.8139  0.0000
Cu  0.5000  0.5000  0.0000
O  0.3676  0.8676  0.5000
O  0.6324  0.1324  0.5000

***

No. 9
Structure and computed PXRD pattern of NaCu3O3 (the PBE geometry in Alexandria; a wavelength of 1.5418 Å).
No peak broadening, texture or thermal motion is included.

Largest 10 diffraction maxima, by angle, 2θ = 10–80°:
- d 5.563, I = 28
- d 2.782, I = 7
- d 2.352, I = 100
- d 2.204, I = 33
- d 2.103, I = 11
- d 1.898, I = 10
- d 1.709, I = 25
- d 1.606, I = 17
- d 1.299, I = 28
- d 1.276, I = 7

Cell and atoms:
a b c (Å): 6.4240 6.4240 4.4079
angles (deg): 90.00 90.00 120.00
Element x y z (fractional)
Na  0.3333  0.6667  0.2500
Na  0.6667  0.3333  0.7500
Cu  0.1389  0.2779  0.7500
Cu  0.1389  0.8611  0.7500
Cu  0.2779  0.1389  0.2500
Cu  0.7221  0.8611  0.7500
Cu  0.8611  0.1389  0.2500
Cu  0.8611  0.7221  0.2500
O  0.0447  0.5223  0.7500
O  0.4777  0.5223  0.7500
O  0.4777  0.9553  0.7500
O  0.5223  0.0447  0.2500
O  0.5223  0.4777  0.2500
O  0.9553  0.4777  0.2500

***

No. 10
Structure and computed PXRD pattern of Na6CuO4 (the PBE geometry in Alexandria; a wavelength of 1.5418 Å).
No peak broadening, texture or thermal motion is included.

Largest 10 diffraction maxima, by angle, 2θ = 10–80°:
- d 4.360, I = 71
- d 3.081, I = 25
- d 2.852, I = 61
- d 2.669, I = 65
- d 2.275, I = 69
- d 2.094, I = 27
- d 1.886, I = 100
- d 1.575, I = 24
- d 1.452, I = 26
- d 1.355, I = 20

Cell and atoms:
a b c (Å): 7.5408 7.5408 5.3444
angles (deg): 90.00 90.00 90.00
Element x y z (fractional)
Na  0.0391  0.5391  0.2500
Na  0.0391  0.9609  0.2500
Na  0.2500  0.2500  0.1432
Na  0.2500  0.2500  0.6432
Na  0.4609  0.5391  0.2500
Na  0.4609  0.9609  0.2500
Na  0.5391  0.0391  0.7500
Na  0.5391  0.4609  0.7500
Na  0.7500  0.7500  0.3568
Na  0.7500  0.7500  0.8568
Na  0.9609  0.0391  0.7500
Na  0.9609  0.4609  0.7500
Cu  0.2500  0.7500  0.7500
Cu  0.7500  0.2500  0.2500
O  0.0007  0.7500  0.5879
O  0.2500  0.5007  0.9121
O  0.2500  0.9993  0.9121
O  0.4993  0.7500  0.5879
O  0.5007  0.2500  0.4121
O  0.7500  0.0007  0.0879
O  0.7500  0.4993  0.0879
O  0.9993  0.2500  0.4121